(1)
For Na4MnO5, DFT lattice parameters and positions (GGA+U) gives the theoretical powder diffractogram in this record (copper Kα).

Cell and atoms:
Lattice parameters (Å, degrees): 9.1108 7.4748 8.3395 90.00 90.00 90.00
Sites, in units of the cell vectors:
1 Na 0.0000 0.0000 0.0000
2 Na 0.0000 0.5000 0.0000
3 Na 0.1307 0.0067 0.3516
4 Na 0.1307 0.4933 0.3516
5 Na 0.1383 0.7500 0.7257
6 Na 0.3617 0.2500 0.2257
7 Na 0.3693 0.5067 0.8516
8 Na 0.3693 0.9933 0.8516
9 Na 0.5000 0.0000 0.5000
10 Na 0.5000 0.5000 0.5000
11 Na 0.6307 0.0067 0.1484
12 Na 0.6307 0.4933 0.1484
13 Na 0.6383 0.7500 0.7743
14 Na 0.8617 0.2500 0.2743
15 Na 0.8693 0.5067 0.6484
16 Na 0.8693 0.9933 0.6484
17 Mn 0.1382 0.2500 0.6485
18 Mn 0.3618 0.7500 0.1485
19 Mn 0.6382 0.2500 0.8515
20 Mn 0.8618 0.7500 0.3515
21 O 0.0124 0.7500 0.4788
22 O 0.1077 0.2500 0.1682
23 O 0.1279 0.0612 0.7626
24 O 0.1279 0.4388 0.7626
25 O 0.2109 0.7500 0.0273
26 O 0.2891 0.2500 0.5273
27 O 0.3721 0.5612 0.2626
28 O 0.3721 0.9388 0.2626
29 O 0.3923 0.7500 0.6682
30 O 0.4876 0.2500 0.9788
31 O 0.5124 0.7500 0.0212
32 O 0.6077 0.2500 0.3318
33 O 0.6279 0.0612 0.7374
34 O 0.6279 0.4388 0.7374
35 O 0.7109 0.7500 0.4727
36 O 0.7891 0.2500 0.9727
37 O 0.8721 0.5612 0.2374
38 O 0.8721 0.9388 0.2374
39 O 0.8923 0.7500 0.8318
40 O 0.9876 0.2500 0.5212

The 8 most intense peaks (10° ≤ 2θ ≤ 90°), in order of rising 2θ:
| Position (°2θ) | I/Imax |
| --- | --- |
| 18.68 | 42.5 |
| 22.24 | 28.9 |
| 22.86 | 33.1 |
| 26.36 | 29.0 |
| 32.80 | 41.0 |
| 33.68 | 100.0 |
| 44.15 | 29.8 |
| 45.37 | 32.4 |

***

(2)
For PrMgW2O6, DFT lattice parameters and positions (GGA+U) gives the theoretical powder diffractogram in this record (copper Kα).

Cell and atoms:
Lattice parameters (Å, degrees): 5.5039 5.7197 9.7842 90.00 124.01 90.00
Sites, in units of the cell vectors:
1 Pr 0.0000 0.1970 0.0000
2 Pr 0.0000 0.8030 0.5000
3 Mg 0.4771 0.2984 0.5003
4 Mg 0.4771 0.7016 0.0003
5 W 0.2408 0.2555 0.7495
6 W 0.2408 0.7445 0.2495
7 W 0.7414 0.2522 0.2499
8 W 0.7414 0.7478 0.7499
9 O 0.0222 0.4532 0.8180
10 O 0.0222 0.5468 0.3180
11 O 0.1391 0.0574 0.3169
12 O 0.1391 0.9426 0.8169
13 O 0.3673 0.4608 0.1797
14 O 0.3673 0.5392 0.6797
15 O 0.4814 0.0698 0.6785
16 O 0.4814 0.9302 0.1785
17 O 0.5995 0.3350 0.9973
18 O 0.5995 0.6650 0.4973
19 O 0.8484 0.1988 0.5031
20 O 0.8484 0.8012 0.0031

The 8 most intense peaks (10° ≤ 2θ ≤ 90°), in order of rising 2θ:
| Position (°2θ) | I/Imax |
| --- | --- |
| 22.42 | 22.3 |
| 31.28 | 22.5 |
| 31.55 | 100.0 |
| 32.54 | 21.5 |
| 44.69 | 12.0 |
| 45.76 | 20.5 |
| 55.84 | 17.4 |
| 57.52 | 11.5 |

***

(3)
For MgCoSiO5, DFT lattice parameters and positions (GGA+U) gives the theoretical powder diffractogram in this record (copper Kα).

Cell and atoms:
Lattice parameters (Å, degrees): 5.3510 5.3510 6.7285 104.54 104.54 107.29
Sites, in units of the cell vectors:
1 Mg 0.1793 0.8207 0.7500
2 Mg 0.8207 0.1793 0.2500
3 Co 0.5000 0.5000 0.0000
4 Co 0.5000 0.5000 0.5000
5 Si 0.1709 0.8291 0.2500
6 Si 0.8291 0.1709 0.7500
7 O 0.1409 0.2262 0.9172
8 O 0.1624 0.6126 0.3838
9 O 0.2262 0.1409 0.4172
10 O 0.3874 0.8376 0.1162
11 O 0.4186 0.5814 0.7500
12 O 0.5814 0.4186 0.2500
13 O 0.6126 0.1624 0.8838
14 O 0.7738 0.8591 0.5828
15 O 0.8376 0.3874 0.6162
16 O 0.8591 0.7738 0.0828

The 8 most intense peaks (10° ≤ 2θ ≤ 90°), in order of rising 2θ:
| Position (°2θ) | I/Imax |
| --- | --- |
| 18.56 | 58.2 |
| 28.66 | 100.0 |
| 31.12 | 59.5 |
| 34.91 | 58.4 |
| 36.10 | 54.1 |
| 57.85 | 27.4 |
| 60.43 | 21.1 |
| 64.95 | 29.6 |

***

(4)
For Li3V2P4H2O16, DFT lattice parameters and positions (GGA+U) gives the theoretical powder diffractogram in this record (copper Kα).

Cell and atoms:
Lattice parameters (Å, degrees): 7.5548 8.0814 9.7493 90.00 104.72 90.00
Sites, in units of the cell vectors:
1 Li 0.0963 0.0000 0.3225
2 Li 0.4025 0.2609 0.4251
3 Li 0.4025 0.2659 0.9250
4 Li 0.5975 0.7609 0.5749
5 Li 0.5975 0.7659 0.0750
6 Li 0.9037 0.5000 0.6775
7 V 0.2420 0.6265 0.3727
8 V 0.2510 0.6341 0.8743
9 V 0.7490 0.1341 0.1257
10 V 0.7580 0.1265 0.6273
11 P 0.0100 0.2814 0.9374
12 P 0.0180 0.2853 0.4419
13 P 0.4830 0.9764 0.3120
14 P 0.4844 0.9798 0.8074
15 P 0.5156 0.4798 0.1926
16 P 0.5170 0.4764 0.6880
17 P 0.9820 0.7853 0.5581
18 P 0.9900 0.7814 0.0626
19 H 0.2316 0.1392 0.1030
20 H 0.2588 0.1236 0.6332
21 H 0.7412 0.6236 0.3668
22 H 0.7684 0.6392 0.8970
23 O 0.0600 0.4452 0.8788
24 O 0.0671 0.4602 0.3987
25 O 0.0895 0.6818 0.6852
26 O 0.1035 0.6785 0.1926
27 O 0.1026 0.8036 0.4500
28 O 0.1038 0.7975 0.9550
29 O 0.1955 0.1880 0.0008
30 O 0.1968 0.1891 0.5017
31 O 0.3063 0.0761 0.7403
32 O 0.3067 0.0747 0.2517
33 O 0.3931 0.4567 0.2989
34 O 0.3985 0.4561 0.7954
35 O 0.4021 0.5814 0.5586
36 O 0.4130 0.5885 0.0667
37 O 0.4376 0.8071 0.3695
38 O 0.4429 0.8116 0.8645
39 O 0.5571 0.3116 0.1355
40 O 0.5624 0.3071 0.6305
41 O 0.5870 0.0885 0.9333
42 O 0.5979 0.0814 0.4414
43 O 0.6015 0.9561 0.2046
44 O 0.6069 0.9567 0.7011
45 O 0.6933 0.5747 0.7483
46 O 0.6937 0.5761 0.2597
47 O 0.8032 0.6891 0.4983
48 O 0.8045 0.6880 0.9992
49 O 0.8962 0.2975 0.0450
50 O 0.8965 0.1785 0.8074
51 O 0.8974 0.3036 0.5500
52 O 0.9105 0.1818 0.3148
53 O 0.9329 0.9602 0.6013
54 O 0.9400 0.9452 0.1212

The 8 most intense peaks (10° ≤ 2θ ≤ 90°), in order of rising 2θ:
| Position (°2θ) | I/Imax |
| --- | --- |
| 16.35 | 53.0 |
| 22.54 | 42.6 |
| 24.94 | 73.4 |
| 25.19 | 49.2 |
| 29.06 | 100.0 |
| 29.66 | 19.7 |
| 33.06 | 43.7 |
| 51.66 | 28.0 |

***

(5)
For CaNdTiMnO6, DFT lattice parameters and positions (GGA+U) gives the theoretical powder diffractogram in this record (copper Kα).

Cell and atoms:
Lattice parameters (Å, degrees): 5.5124 5.6731 9.3406 90.00 125.54 90.00
Sites, in units of the cell vectors:
1 Ca 0.0000 0.2011 0.0000
2 Ca 0.0000 0.7989 0.5000
3 Nd 0.5255 0.3029 0.5002
4 Nd 0.5255 0.6971 0.0002
5 Ti 0.7627 0.2441 0.2491
6 Ti 0.7627 0.7559 0.7491
7 Mn 0.2639 0.2476 0.7505
8 Mn 0.2639 0.7524 0.2505
9 O 0.1041 0.2244 0.5041
10 O 0.1041 0.7756 0.0041
11 O 0.4198 0.2735 0.9959
12 O 0.4198 0.7265 0.4959
13 O 0.5278 0.0518 0.2973
14 O 0.5278 0.9482 0.7973
15 O 0.6048 0.4672 0.7962
16 O 0.6048 0.5328 0.2962
17 O 0.9168 0.0351 0.7033
18 O 0.9168 0.9649 0.2033
19 O 0.9949 0.4488 0.2033
20 O 0.9949 0.5512 0.7033

The 8 most intense peaks (10° ≤ 2θ ≤ 90°), in order of rising 2θ:
| Position (°2θ) | I/Imax |
| --- | --- |
| 19.53 | 33.8 |
| 19.79 | 18.9 |
| 20.00 | 19.1 |
| 31.54 | 29.9 |
| 32.53 | 100.0 |
| 32.82 | 63.1 |
| 45.91 | 37.9 |
| 47.87 | 20.7 |

***

(6)
For Li2MnPHO5, DFT lattice parameters and positions (GGA+U) gives the theoretical powder diffractogram in this record (copper Kα).

Cell and atoms:
Lattice parameters (Å, degrees): 8.4807 9.6120 5.5573 90.00 104.79 90.00
Sites, in units of the cell vectors:
1 Li 0.0863 0.1700 0.3361
2 Li 0.0863 0.3300 0.8361
3 Li 0.1858 0.6574 0.7704
4 Li 0.1858 0.8426 0.2704
5 Li 0.8142 0.1574 0.7296
6 Li 0.8142 0.3426 0.2296
7 Li 0.9137 0.6700 0.1639
8 Li 0.9137 0.8300 0.6639
9 Mn 0.4827 0.1311 0.2029
10 Mn 0.4827 0.3689 0.7029
11 Mn 0.5173 0.6311 0.2971
12 Mn 0.5173 0.8689 0.7971
13 P 0.1857 0.0217 0.8727
14 P 0.1857 0.4783 0.3727
15 P 0.8143 0.5217 0.6273
16 P 0.8143 0.9783 0.1273
17 H 0.4728 0.1217 0.6510
18 H 0.4728 0.3783 0.1510
19 H 0.5272 0.6217 0.8490
20 H 0.5272 0.8783 0.3490
21 O 0.0607 0.1200 0.7056
22 O 0.0607 0.3800 0.2056
23 O 0.1331 0.6328 0.3698
24 O 0.1331 0.8672 0.8698
25 O 0.2301 0.0736 0.1514
26 O 0.2301 0.4264 0.6514
27 O 0.3511 0.0307 0.7937
28 O 0.3511 0.4693 0.2937
29 O 0.4508 0.6783 0.9169
30 O 0.4508 0.8217 0.4169
31 O 0.5492 0.1783 0.5831
32 O 0.5492 0.3217 0.0831
33 O 0.6489 0.5307 0.7063
34 O 0.6489 0.9693 0.2063
35 O 0.7699 0.5736 0.3486
36 O 0.7699 0.9264 0.8486
37 O 0.8669 0.1328 0.1302
38 O 0.8669 0.3672 0.6302
39 O 0.9393 0.6200 0.7944
40 O 0.9393 0.8800 0.2944

The 8 most intense peaks (10° ≤ 2θ ≤ 90°), in order of rising 2θ:
| Position (°2θ) | I/Imax |
| --- | --- |
| 10.79 | 83.4 |
| 18.92 | 73.6 |
| 24.86 | 30.9 |
| 25.42 | 100.0 |
| 28.62 | 31.5 |
| 30.21 | 35.8 |
| 32.77 | 43.9 |
| 33.35 | 31.0 |